Calculated powder X-ray diffraction pattern of Na3PuPb12 for Cu Kα, from a DFT-relaxed cell (GGA-PBE, Alexandria).

Atomic structure:
```
data_Na3PuPb12
_chemical_formula_sum 'Na3 Pu1 Pb12'
_cell_length_a 4.877
_cell_length_b 4.877
_cell_length_c 19.938
_cell_angle_alpha 90.00
_cell_angle_beta 90.00
_cell_angle_gamma 90.00
_symmetry_space_group_name_H-M 'P 1'
_symmetry_Int_Tables_number 1
_symmetry_space_group_name_Hall 'P 1'
loop_
_atom_site_label
_atom_site_type_symbol
_atom_site_fract_x
_atom_site_fract_y
_atom_site_fract_z
_atom_site_occupancy
Na1 Na 0.000 0.000 0.000 1
Na2 Na 0.000 0.000 0.254 1
Na3 Na 0.000 0.000 0.746 1
Pu1 Pu 0.000 0.000 0.500 1
Pb1 Pb 0.000 0.500 0.126 1
Pb2 Pb 0.000 0.500 0.376 1
Pb3 Pb 0.000 0.500 0.624 1
Pb4 Pb 0.000 0.500 0.874 1
Pb5 Pb 0.500 0.000 0.126 1
Pb6 Pb 0.500 0.000 0.376 1
Pb7 Pb 0.500 0.000 0.624 1
Pb8 Pb 0.500 0.000 0.874 1
Pb9 Pb 0.500 0.500 0.000 1
Pb10 Pb 0.500 0.500 0.249 1
Pb11 Pb 0.500 0.500 0.500 1
Pb12 Pb 0.500 0.500 0.751 1
```

Top 10 peaks for 10° ≤ 2θ ≤ 90°, low angle first:
| 2theta | intensity | hkl |
| --- | --- | --- |
| 31.55 | 100 | 1 1 4 |
| 36.04 | 18 | 0 0 8 |
| 36.86 | 33 | 2 0 0 |
| 52.50 | 25 | 2 0 8 |
| 53.11 | 12 | 2 2 0 |
| 62.00 | 15 | 1 1 12 |
| 63.10 | 29 | 3 1 4 |
| 65.86 | 13 | 2 2 8 |
| 86.00 | 13 | 3 1 12 |
| 86.97 | 6 | 3 3 4 |